Entry 1:
The following is a calculated PXRD pattern of Li4V3Co3Sb2O16. It was derived from the PBE+U geometry in the Materials Project, using a wavelength of 1.5418 Å.
Lines closer than 0.1° are merged.

Largest 8 diffraction maxima, sorted by position, 15 to 90 degrees two-theta:
19.2°, 4.627 Å, rel. 34.4
19.4°, 4.585 Å, rel. 64.2
19.5°, 4.557 Å, rel. 100.0
32.7°, 2.740 Å, rel. 37.9
34.9°, 2.572 Å, rel. 30.9
35.3°, 2.543 Å, rel. 34.8
35.4°, 2.538 Å, rel. 33.1
61.8°, 1.501 Å, rel. 30.6

Structure:
```
Li4V3Co3Sb2O16
1.0
5.9589 0.0000 0.0000
-2.9736 5.2119 0.0000
-0.0330 -0.1612 9.7445
Li V Co Sb O
4 3 3 2 16
direct
0.0000 0.0000 0.0000
0.0084 0.0049 0.5119
0.3423 0.6835 0.5988
0.6739 0.3426 0.0894
0.1753 0.8344 0.2741
0.6589 0.8218 0.2857
0.8275 0.6541 0.7740
0.1746 0.3471 0.2876
0.3463 0.1791 0.7848
0.8331 0.1780 0.7852
0.3333 0.6678 0.0018
0.6609 0.3251 0.5103
0.0004 0.9846 0.1930
0.0467 0.5339 0.1534
0.1660 0.8322 0.9040
0.1667 0.3285 0.9115
0.3306 0.1659 0.3989
0.3441 0.7069 0.3896
0.4822 0.9673 0.1559
0.5059 0.5468 0.1581
0.5223 0.0437 0.6458
0.5309 0.5019 0.6418
0.6658 0.8306 0.9051
0.6908 0.3782 0.8901
0.8244 0.1523 0.3957
0.8306 0.6662 0.3920
0.9713 0.5018 0.6407
0.9882 0.9778 0.6990
```


Entry 2:
The following is a calculated PXRD pattern of LiV2NiO6. It was derived from the PBE+U geometry in the Materials Project, using a wavelength of 1.5418 Å.
Lines closer than 0.1° are merged.

Largest 8 diffraction maxima, sorted by position, 15 to 90 degrees two-theta:
18.6°, 4.768 Å, rel. 22.3
19.6°, 4.533 Å, rel. 30.4
23.8°, 3.733 Å, rel. 25.6
28.1°, 3.171 Å, rel. 100.0
29.7°, 3.007 Å, rel. 61.2
33.4°, 2.681 Å, rel. 40.7
35.3°, 2.541 Å, rel. 26.5
54.1°, 1.694 Å, rel. 22.7

Structure:
```
LiV2NiO6
1.0
5.1154 -4.5327 0.0000
5.1154 4.5327 0.0000
-2.0389 0.0000 5.3622
Li V Ni O
2 4 2 12
direct
0.2465 0.7535 0.7500
0.7535 0.2465 0.2500
0.1961 0.3919 0.2661
0.3919 0.1961 0.7661
0.6081 0.8039 0.2339
0.8039 0.6081 0.7339
0.0838 0.9162 0.2500
0.9162 0.0838 0.7500
0.0172 0.2015 0.1454
0.0961 0.6390 0.3217
0.2015 0.0172 0.6454
0.3531 0.3693 0.5666
0.3610 0.9039 0.1783
0.3693 0.3531 0.0666
0.6307 0.6469 0.9334
0.6390 0.0961 0.8217
0.6469 0.6307 0.4334
0.7985 0.9828 0.3546
0.9039 0.3610 0.6783
0.9828 0.7985 0.8546
```


Entry 3:
The following is a calculated PXRD pattern of MgAlCuW2O8. It was derived from the PBE+U geometry in the Materials Project, using a wavelength of 1.5418 Å.
Lines closer than 0.1° are merged.

Largest 8 diffraction maxima, sorted by position, 15 to 90 degrees two-theta:
15.5°, 5.705 Å, rel. 49.2
19.2°, 4.614 Å, rel. 100.0
23.1°, 3.848 Å, rel. 40.8
25.2°, 3.540 Å, rel. 30.3
28.3°, 3.158 Å, rel. 41.8
32.4°, 2.760 Å, rel. 37.6
33.6°, 2.669 Å, rel. 72.0
40.0°, 2.252 Å, rel. 33.1

Structure:
```
MgAlCuW2O8
1.0
5.3629 0.0000 0.0000
2.3324 4.8423 0.0000
1.7354 -0.4837 5.7050
Mg Al Cu W O
1 1 1 2 8
direct
0.0000 0.0000 0.0000
0.6881 0.6028 0.8040
0.4520 0.1916 0.6013
0.1235 0.4348 0.2034
0.1416 0.8971 0.4909
0.3009 0.0071 0.1840
0.3504 0.4961 0.4122
0.3751 0.8797 0.7122
0.4017 0.4650 0.9445
0.8589 0.8586 0.7695
0.8825 0.4070 0.0132
0.8892 0.8408 0.3018
0.9011 0.3540 0.5331
```